Diffraction record for Pr2Sb7Rh12. The powder X-ray diffraction pattern is computed, not measured: it uses a DFT-relaxed cell (PBE, Alexandria) and CuKα.

Most intense lines, 10° ≤ 2θ ≤ 80°, in order of rising 2θ:
| d [Å] | 2θ (°) | I_rel | hkl |
| --- | --- | --- | --- |
| 2.646 | 33.9 | 100 | 2 1 1 |
| 2.157 | 41.9 | 25 | 4 -1 1 |
| 2.062 | 43.9 | 22 | 0 0 2 |
| 1.996 | 45.4 | 14 | 0 4 1 |
| 1.991 | 45.6 | 29 | 1 4 0 |
| 1.867 | 48.8 | 12 | 3 2 1 |
| 1.433 | 65.1 | 15 | 1 4 2 |
| 1.243 | 76.7 | 12 | 5 3 1 |

Structural model:
Unit cell a=10.5365 b=10.5365 c=4.1249 alpha=90.00 beta=90.00 gamma=120.00
Space group P-3 (No. 147)
Unique sites:
1 Pr 0.3333 0.6667 0.2455 x2
2 Sb 0.0000 0.0000 0.5000 x1
3 Sb 0.1123 0.7097 0.7466 x6
4 Rh 0.0622 0.4416 0.7507 x6
5 Rh 0.1196 0.2637 0.2433 x6